NiBO: calculated powder XRD pattern (copper Kα), based on a structure optimized by DFT (PBE+U).
Peak positions follow from Bragg's law for the DFT cell and can differ from measured ones.

Structural model:
```
data_NiBO
_cell_length_a 8.3482
_cell_length_b 2.3537
_cell_length_c 5.3821
_cell_angle_alpha 90.00
_cell_angle_beta 90.00
_cell_angle_gamma 90.00
_symmetry_space_group_name_H-M 'P 1'
_symmetry_Int_Tables_number 1
loop_
_symmetry_equiv_pos_as_xyz
'x,y,z'
loop_
_atom_site_label
_atom_site_fract_x
_atom_site_fract_y
_atom_site_fract_z
Ni1 0.1493 0.0000 0.0000
Ni2 0.1493 0.5000 0.5000
Ni3 0.8507 0.0000 0.0000
Ni4 0.8507 0.5000 0.5000
B1 0.0000 0.0000 0.2976
B2 0.0000 0.5000 0.7976
B3 0.5000 0.0000 0.5132
B4 0.5000 0.5000 0.0132
O1 0.3779 0.0000 0.0133
O2 0.3779 0.5000 0.5133
O3 0.6221 0.0000 0.0133
O4 0.6221 0.5000 0.5133
```

Principal peaks in the range 10 to 80 degrees two-theta, by angle:
two_theta, I (rel.)
10.60, 100
32.17, 29
33.29, 70
41.89, 62
43.34, 36
46.97, 25
53.78, 24
55.74, 19
61.87, 31
65.41, 15



NiB2PO6: calculated powder XRD pattern (copper Kα), based on a structure optimized by DFT (PBE+U).
Peak positions follow from Bragg's law for the DFT cell and can differ from measured ones.

Structural model:
```
data_NiB2PO6
_cell_length_a 7.5915
_cell_length_b 7.5915
_cell_length_c 4.6183
_cell_angle_alpha 107.69
_cell_angle_beta 107.69
_cell_angle_gamma 81.49
_symmetry_space_group_name_H-M 'P 1'
_symmetry_Int_Tables_number 1
loop_
_symmetry_equiv_pos_as_xyz
'x,y,z'
loop_
_atom_site_label
_atom_site_fract_x
_atom_site_fract_y
_atom_site_fract_z
Ni1 0.0498 0.9502 0.7500
Ni2 0.9502 0.0498 0.2500
B1 0.2775 0.3768 0.9593
B2 0.3768 0.2775 0.4593
B3 0.6232 0.7225 0.5407
B4 0.7225 0.6232 0.0407
P1 0.2508 0.7492 0.2500
P2 0.7492 0.2508 0.7500
O1 0.0867 0.7482 0.3720
O2 0.2518 0.9133 0.1280
O3 0.2546 0.3214 0.2030
O4 0.2643 0.5641 0.9742
O5 0.3214 0.2546 0.7030
O6 0.4359 0.7357 0.5258
O7 0.5641 0.2643 0.4742
O8 0.6786 0.7454 0.2970
O9 0.7357 0.4359 0.0258
O10 0.7454 0.6786 0.7970
O11 0.7482 0.0867 0.8720
O12 0.9133 0.2518 0.6280
```

Principal peaks in the range 10 to 80 degrees two-theta, by angle:
two_theta, I (rel.)
12.26, 82
16.83, 100
21.23, 23
26.93, 83
27.73, 41
36.92, 32
37.58, 58
41.04, 21
42.28, 27
48.39, 21



Ni8B3SbO15: calculated powder XRD pattern (copper Kα), based on a structure optimized by DFT (PBE+U).
Peak positions follow from Bragg's law for the DFT cell and can differ from measured ones.

Structural model:
```
data_Ni8B3SbO15
_cell_length_a 6.2250
_cell_length_b 8.1670
_cell_length_c 11.2110
_cell_angle_alpha 104.55
_cell_angle_beta 94.13
_cell_angle_gamma 102.15
_symmetry_space_group_name_H-M 'P 1'
_symmetry_Int_Tables_number 1
loop_
_symmetry_equiv_pos_as_xyz
'x,y,z'
loop_
_atom_site_label
_atom_site_fract_x
_atom_site_fract_y
_atom_site_fract_z
Ni1 0.0000 0.0000 0.0000
Ni2 0.0000 0.0000 0.5000
Ni3 0.0000 0.5000 0.0000
Ni4 0.0503 0.3286 0.2109
Ni5 0.2828 0.0005 0.7855
Ni6 0.3334 0.3263 0.4987
Ni7 0.3327 0.8361 0.0037
Ni8 0.3341 0.3332 0.9997
Ni9 0.3825 0.6675 0.2145
Ni10 0.5000 0.0000 0.5000
Ni11 0.6175 0.3325 0.7855
Ni12 0.6659 0.6668 0.0003
Ni13 0.6673 0.1639 0.9963
Ni14 0.6666 0.6737 0.5013
Ni15 0.7172 0.9995 0.2145
Ni16 0.9497 0.6714 0.7891
B1 0.1063 0.3191 0.7411
B2 0.2268 0.0198 0.2650
B3 0.4387 0.6506 0.7412
B4 0.5613 0.3494 0.2588
B5 0.7732 0.9802 0.7350
B6 0.8937 0.6809 0.2589
Sb1 0.1746 0.6745 0.5005
Sb2 0.8254 0.3255 0.4995
O1 0.0079 0.2615 0.0288
O2 0.0302 0.5843 0.2035
O3 0.0647 0.0717 0.2037
O4 0.0745 0.2684 0.6038
O5 0.0868 0.4112 0.4092
O6 0.2350 0.9203 0.5939
O7 0.2563 0.0707 0.3980
O8 0.2691 0.2635 0.7942
O9 0.3000 0.7449 0.7960
O10 0.3271 0.0722 0.9685
O11 0.3410 0.5957 0.0314
O12 0.3623 0.9216 0.2055
O13 0.3966 0.4024 0.2051
O14 0.4055 0.5963 0.6032
O15 0.4194 0.7337 0.4059
O16 0.5806 0.2663 0.5941
O17 0.5945 0.4037 0.3968
O18 0.6034 0.5976 0.7949
O19 0.6377 0.0784 0.7945
O20 0.6590 0.4043 0.9686
O21 0.6729 0.9278 0.0315
O22 0.7000 0.2551 0.2040
O23 0.7309 0.7365 0.2058
O24 0.7437 0.9293 0.6020
O25 0.7650 0.0797 0.4061
O26 0.9132 0.5888 0.5908
O27 0.9255 0.7316 0.3962
O28 0.9353 0.9283 0.7963
O29 0.9698 0.4157 0.7965
O30 0.9921 0.7385 0.9712
```

Principal peaks in the range 10 to 80 degrees two-theta, by angle:
two_theta, I (rel.)
16.47, 78
17.81, 40
33.32, 75
33.72, 40
35.04, 100
36.06, 51
37.15, 29
38.33, 46
44.76, 53
60.60, 26



UNi7B4O16: calculated powder XRD pattern (copper Kα), based on a structure optimized by DFT (PBE+U).
Peak positions follow from Bragg's law for the DFT cell and can differ from measured ones.

Structural model:
```
data_UNi7B4O16
_cell_length_a 4.5666
_cell_length_b 20.5042
_cell_length_c 5.8874
_cell_angle_alpha 90.00
_cell_angle_beta 90.00
_cell_angle_gamma 90.00
_symmetry_space_group_name_H-M 'P 1'
_symmetry_Int_Tables_number 1
loop_
_symmetry_equiv_pos_as_xyz
'x,y,z'
loop_
_atom_site_label
_atom_site_fract_x
_atom_site_fract_y
_atom_site_fract_z
U1 0.0000 0.0000 0.0000
U2 0.5000 0.5000 0.5000
Ni1 0.0000 0.5000 0.0000
Ni2 0.0197 0.3698 0.2515
Ni3 0.0197 0.3698 0.7485
Ni4 0.0206 0.2361 0.5000
Ni5 0.4794 0.7361 0.0000
Ni6 0.4803 0.8698 0.2485
Ni7 0.4803 0.8698 0.7515
Ni8 0.5000 0.0000 0.5000
Ni9 0.5197 0.1302 0.2485
Ni10 0.5197 0.1302 0.7515
Ni11 0.5206 0.2639 0.0000
Ni12 0.9794 0.7639 0.5000
Ni13 0.9803 0.6302 0.2515
Ni14 0.9803 0.6302 0.7485
B1 0.0221 0.8063 0.0000
B2 0.0816 0.0890 0.5000
B3 0.4184 0.5890 0.0000
B4 0.4779 0.3063 0.5000
B5 0.5221 0.6937 0.5000
B6 0.5816 0.4110 0.0000
B7 0.9184 0.9110 0.5000
B8 0.9779 0.1937 0.0000
O1 0.1826 0.7947 0.1990
O2 0.1826 0.7947 0.8010
O3 0.2149 0.0509 0.2925
O4 0.2149 0.0509 0.7075
O5 0.2189 0.4297 0.5000
O6 0.2278 0.9107 0.5000
O7 0.2302 0.6759 0.5000
O8 0.2395 0.1518 0.5000
O9 0.2605 0.6518 0.0000
O10 0.2698 0.1759 0.0000
O11 0.2722 0.4107 0.0000
O12 0.2811 0.9297 0.0000
O13 0.2851 0.5509 0.2075
O14 0.2851 0.5509 0.7925
O15 0.3174 0.2947 0.3010
O16 0.3174 0.2947 0.6990
O17 0.6826 0.7053 0.3010
O18 0.6826 0.7053 0.6990
O19 0.7149 0.4491 0.2075
O20 0.7149 0.4491 0.7925
O21 0.7189 0.0703 0.0000
O22 0.7278 0.5893 0.0000
O23 0.7302 0.8241 0.0000
O24 0.7395 0.3482 0.0000
O25 0.7605 0.8482 0.5000
O26 0.7698 0.3241 0.5000
O27 0.7722 0.0893 0.5000
O28 0.7811 0.5703 0.5000
O29 0.7851 0.9491 0.2925
O30 0.7851 0.9491 0.7075
O31 0.8174 0.2053 0.1990
O32 0.8174 0.2053 0.8010
```

Principal peaks in the range 10 to 80 degrees two-theta, by angle:
two_theta, I (rel.)
23.43, 39
26.18, 100
29.27, 40
30.31, 23
35.16, 50
36.20, 54
36.58, 34
51.45, 27
53.77, 24
53.87, 52



ZnNi2BO4: calculated powder XRD pattern (copper Kα), based on a structure optimized by DFT (PBE+U).
Peak positions follow from Bragg's law for the DFT cell and can differ from measured ones.

Structural model:
```
data_ZnNi2BO4
_cell_length_a 6.3654
_cell_length_b 6.3654
_cell_length_c 6.1410
_cell_angle_alpha 117.61
_cell_angle_beta 117.61
_cell_angle_gamma 63.28
_symmetry_space_group_name_H-M 'P 1'
_symmetry_Int_Tables_number 1
loop_
_symmetry_equiv_pos_as_xyz
'x,y,z'
loop_
_atom_site_label
_atom_site_fract_x
_atom_site_fract_y
_atom_site_fract_z
Zn1 0.0000 0.5000 0.0000
Zn2 0.5000 0.0000 0.5000
Ni1 0.0000 0.0000 0.0000
Ni2 0.0000 0.0000 0.5000
Ni3 0.0000 0.5000 0.5000
Ni4 0.5000 0.0000 0.0000
B1 0.5000 0.5000 0.0000
B2 0.5000 0.5000 0.5000
O1 0.1437 0.1598 0.8988
O2 0.1598 0.1437 0.3988
O3 0.2703 0.6175 0.4538
O4 0.3825 0.7297 0.0462
O5 0.6175 0.2703 0.9538
O6 0.7297 0.3825 0.5462
O7 0.8402 0.8563 0.6012
O8 0.8563 0.8402 0.1012
```

Principal peaks in the range 10 to 80 degrees two-theta, by angle:
two_theta, I (rel.)
16.47, 61
33.29, 100
34.83, 79
35.73, 71
39.66, 32
39.89, 44
41.77, 17
56.90, 30
58.12, 28
67.93, 18